# CaNi5H
Theoretical powder X-ray diffraction pattern, Cu Kα (weighted mean of Kα1 and Kα2). Input: a DFT-relaxed cell (PBE, the Materials Project).
Peak positions follow from Bragg's law for the DFT cell and can differ from measured ones.

Principal peaks in the range 15° ≤ 2θ ≤ 90°, by intensity:
- 2θ = 43.2°, d 2.093, intensity 100
- 2θ = 48.1°, d 1.893, intensity 57
- 2θ = 20.6°, d 4.315, intensity 51
- 2θ = 42.8°, d 2.113, intensity 51
- 2θ = 46.0°, d 1.973, intensity 50
- 2θ = 48.6°, d 1.874, intensity 33
- 2θ = 41.9°, d 2.157, intensity 31
- 2θ = 69.6°, d 1.351, intensity 22
- 2θ = 20.9°, d 4.259, intensity 20
- 2θ = 77.3°, d 1.235, intensity 18

Cell: 3.9454 4.9395 4.9395 Å, 60.87 90.00 90.00°
Element x y z (fractional)
1 Ca 0.0000 0.0000 0.0000
2 Ni 0.0000 0.3413 0.3413
3 Ni 0.0000 0.6647 0.6647
4 Ni 0.5000 0.4987 0.4987
5 Ni 0.5000 0.5066 0.9949
6 Ni 0.5000 0.9949 0.5066
7 H 0.5000 0.1456 0.1456